# TlCdRh2
Computed X-ray powder pattern, Cu Kα X-rays. Input: a crystal structure in the Materials Project, relaxed with PBE.
Kinematic intensities with the Lorentz-polarization factor, no thermal factor.

Top 10 peaks for 15 to 90 degrees two-theta, sorted by position:
two_theta	I/Imax
23.6	6
27.3	5
39.0	100
46.0	3
48.2	1
56.3	17
61.8	2
63.6	2
70.6	34
83.6	11

Structural model:
Cell: 4.6243 4.6243 4.6243 Å, 60.00 60.00 60.00°
Fractional coordinates of all 4 atoms:
1 Tl 0.0000 0.0000 0.0000
2 Cd 0.5000 0.5000 0.5000
3 Rh 0.2500 0.2500 0.2500
4 Rh 0.7500 0.7500 0.7500

# TmCdRh2
Computed X-ray powder pattern, Cu Kα X-rays. Input: a crystal structure in the Materials Project, relaxed with PBE.
Kinematic intensities with the Lorentz-polarization factor, no thermal factor.

Top 10 peaks for 15 to 90 degrees two-theta, sorted by position:
two_theta	I/Imax
23.3	3
27.0	3
38.6	100
45.6	2
47.7	1
55.7	17
61.2	1
62.9	1
69.8	34
82.7	11

Structural model:
Cell: 4.6699 4.6699 4.6699 Å, 60.00 60.00 60.00°
Fractional coordinates of all 4 atoms:
1 Tm 0.0000 0.0000 0.0000
2 Cd 0.5000 0.5000 0.5000
3 Rh 0.2500 0.2500 0.2500
4 Rh 0.7500 0.7500 0.7500

# Y10Cd3Ru
Computed X-ray powder pattern, Cu Kα X-rays. Input: a crystal structure in the Materials Project, relaxed with PBE.
Kinematic intensities with the Lorentz-polarization factor, no thermal factor.

Top 10 peaks for 15 to 90 degrees two-theta, sorted by position:
two_theta	I/Imax
29.2	18
33.5	74
33.7	100
34.7	48
36.4	15
37.3	13
55.5	16
57.2	29
57.4	24
58.3	18

Structural model:
Cell: 9.6387 9.6387 9.8711 Å, 90.00 90.00 120.00°
Fractional coordinates of all 28 atoms:
1 Y 0.0000 0.0000 0.0000
2 Y 0.0000 0.0000 0.5000
3 Y 0.0826 0.5413 0.2500
4 Y 0.2098 0.4197 0.5602
5 Y 0.2098 0.4197 0.9398
6 Y 0.2098 0.7902 0.5602
7 Y 0.2098 0.7902 0.9398
8 Y 0.4197 0.2098 0.0602
9 Y 0.4197 0.2098 0.4398
10 Y 0.4587 0.5413 0.2500
11 Y 0.4587 0.9174 0.2500
12 Y 0.5413 0.0826 0.7500
13 Y 0.5413 0.4587 0.7500
14 Y 0.5803 0.7902 0.5602
15 Y 0.5803 0.7902 0.9398
16 Y 0.7902 0.2098 0.0602
17 Y 0.7902 0.2098 0.4398
18 Y 0.7902 0.5803 0.0602
19 Y 0.7902 0.5803 0.4398
20 Y 0.9174 0.4587 0.7500
21 Cd 0.1146 0.2291 0.2500
22 Cd 0.1146 0.8854 0.2500
23 Cd 0.2291 0.1146 0.7500
24 Cd 0.7709 0.8854 0.2500
25 Cd 0.8854 0.1146 0.7500
26 Cd 0.8854 0.7709 0.7500
27 Ru 0.3333 0.6667 0.7500
28 Ru 0.6667 0.3333 0.2500

# CdS
Computed X-ray powder pattern, Cu Kα X-rays. Input: a crystal structure in the Materials Project, relaxed with PBE.
Kinematic intensities with the Lorentz-polarization factor, no thermal factor.

Top 10 peaks for 15 to 90 degrees two-theta, sorted by position:
two_theta	I/Imax
15.3	100
24.1	47
28.7	61
30.8	18
39.5	26
42.4	21
45.3	35
52.0	11
53.3	21
65.1	11

Structural model:
Cell: 4.2612 4.2612 5.8042 Å, 90.00 90.00 120.00°
Fractional coordinates of all 2 atoms:
1 Cd 0.0000 0.0000 0.0000
2 S 0.6667 0.3333 0.9916

# CdS2
Computed X-ray powder pattern, Cu Kα X-rays. Input: a crystal structure in the Materials Project, relaxed with PBE.
Kinematic intensities with the Lorentz-polarization factor, no thermal factor.

Top 10 peaks for 15 to 90 degrees two-theta, sorted by position:
two_theta	I/Imax
24.1	54
27.8	100
34.3	9
39.8	59
47.0	71
49.3	19
63.3	23
65.1	16
72.2	14
77.4	30

Structural model:
Cell: 6.4079 6.4079 6.4079 Å, 90.00 90.00 90.00°
Fractional coordinates of all 12 atoms:
1 Cd 0.0000 0.0000 0.0000
2 Cd 0.0000 0.5000 0.5000
3 Cd 0.5000 0.0000 0.5000
4 Cd 0.5000 0.5000 0.0000
5 S 0.0942 0.5942 0.9058
6 S 0.0942 0.9058 0.4058
7 S 0.4058 0.0942 0.9058
8 S 0.4058 0.4058 0.4058
9 S 0.5942 0.5942 0.5942
10 S 0.5942 0.9058 0.0942
11 S 0.9058 0.0942 0.5942
12 S 0.9058 0.4058 0.0942

# CdS
Computed X-ray powder pattern, Cu Kα X-rays. Input: a crystal structure in the Materials Project, relaxed with PBE.
Kinematic intensities with the Lorentz-polarization factor, no thermal factor.

Top 9 peaks for 15 to 90 degrees two-theta, sorted by position:
two_theta	I/Imax
28.1	58
32.5	100
46.7	69
55.3	27
58.0	23
68.1	11
75.2	10
77.5	29
86.6	23

Structural model:
Cell: 3.8937 3.8937 3.8937 Å, 60.00 60.00 60.00°
Fractional coordinates of all 2 atoms:
1 Cd 0.0000 0.0000 0.0000
2 S 0.5000 0.5000 0.5000

# CdS
Computed X-ray powder pattern, Cu Kα X-rays. Input: a crystal structure in the Materials Project, relaxed with PBE.
Kinematic intensities with the Lorentz-polarization factor, no thermal factor.

Top 10 peaks for 15 to 90 degrees two-theta, sorted by position:
two_theta	I/Imax
24.1	75
28.5	100
30.2	30
39.0	44
42.5	34
45.3	56
52.0	18
52.6	18
53.0	34
64.4	18

Structural model:
Cell: 4.2561 4.2561 5.9212 Å, 90.00 90.00 120.00°
Fractional coordinates of all 2 atoms:
1 Cd 0.0000 0.0000 0.0000
2 S 0.6667 0.3333 0.9718

# CdS
Computed X-ray powder pattern, Cu Kα X-rays. Input: a crystal structure in the Materials Project, relaxed with PBE.
Kinematic intensities with the Lorentz-polarization factor, no thermal factor.

Top 9 peaks for 15 to 90 degrees two-theta, sorted by position:
two_theta	I/Imax
28.0	58
32.5	100
46.6	69
55.3	27
58.0	23
68.0	11
75.1	10
77.4	29
86.5	23

Structural model:
Cell: 3.8984 5.5115 3.8981 Å, 90.00 90.00 90.00°
Fractional coordinates of all 4 atoms:
1 Cd 0.2500 0.2500 0.2430
2 Cd 0.7500 0.7500 0.7570
3 S 0.2500 0.7500 0.2552
4 S 0.7500 0.2500 0.7448

# CdS
Computed X-ray powder pattern, Cu Kα X-rays. Input: a crystal structure in the Materials Project, relaxed with PBE.
Kinematic intensities with the Lorentz-polarization factor, no thermal factor.

Top 10 peaks for 15 to 90 degrees two-theta, sorted by position:
two_theta	I/Imax
24.4	59
26.0	43
27.7	100
36.0	27
43.0	49
47.0	50
51.0	39
51.9	17
65.6	18
81.7	19

Structural model:
Cell: 4.2065 4.2065 6.8429 Å, 90.00 90.00 120.00°
Fractional coordinates of all 4 atoms:
1 Cd 0.3333 0.6667 0.0000
2 Cd 0.6667 0.3333 0.5000
3 S 0.3333 0.6667 0.6233
4 S 0.6667 0.3333 0.1233

# CdS
Computed X-ray powder pattern, Cu Kα X-rays. Input: a crystal structure in the Materials Project, relaxed with PBE.
Kinematic intensities with the Lorentz-polarization factor, no thermal factor.

Top 10 peaks for 15 to 90 degrees two-theta, sorted by position:
two_theta	I/Imax
26.0	100
30.1	24
43.1	57
51.0	45
53.4	6
62.5	9
68.9	17
70.9	8
78.9	18
84.8	13

Structural model:
Cell: 4.2008 4.2008 4.2008 Å, 60.00 60.00 60.00°
Fractional coordinates of all 2 atoms:
1 Cd 0.0000 0.0000 0.0000
2 S 0.2500 0.2500 0.2500

# Cd2Sb6S11
Computed X-ray powder pattern, Cu Kα X-rays. Input: a crystal structure in the Materials Project, relaxed with PBE.
Kinematic intensities with the Lorentz-polarization factor, no thermal factor.

Top 10 peaks for 15 to 90 degrees two-theta, sorted by position:
two_theta	I/Imax
21.7	39
22.6	64
22.8	33
23.9	100
29.9	32
30.7	68
31.8	39
32.5	46
46.2	31
46.7	61

Structural model:
Cell: 9.3628 3.8847 13.2698 Å, 90.00 93.37 90.00°
Fractional coordinates of all 19 atoms:
1 Cd 0.0000 0.0000 0.0000
2 Cd 0.4675 0.5000 0.5355
3 Sb 0.1639 0.5000 0.3038
4 Sb 0.2744 0.0000 0.8133
5 Sb 0.4542 0.0000 0.1060
6 Sb 0.6627 0.5000 0.8324
7 Sb 0.7950 0.0000 0.3302
8 Sb 0.9650 0.5000 0.5890
9 S 0.0407 0.0000 0.4170
10 S 0.0637 0.5000 0.8851
11 S 0.1911 0.0000 0.1545
12 S 0.3731 0.0000 0.4333
13 S 0.4119 0.5000 0.9132
14 S 0.4998 0.0000 0.7056
15 S 0.5246 0.5000 0.2201
16 S 0.7195 0.0000 0.9665
17 S 0.7431 0.5000 0.4773
18 S 0.8944 0.0000 0.6996
19 S 0.9085 0.5000 0.2165